(1)
Simulated X-ray diffraction stick pattern
Compound: Pm3Ho2Tl3
Radiation: copper Kα
Structure: a GGA-PBE-relaxed structure

Atomic structure:
Unit cell a=11.085 b=11.085 c=11.085 alpha=156.98 beta=153.63 gamma=35.28
Positions (direct):
Pm (0.000, 0.000, 0.000)
Pm (0.380, 0.880, 0.500)
Pm (0.620, 0.120, 0.500)
Ho (0.237, 0.237, 0.000)
Ho (0.763, 0.763, 0.000)
Tl (0.130, 0.630, 0.500)
Tl (0.500, 0.500, 0.000)
Tl (0.870, 0.370, 0.500)

Largest 8 diffraction maxima, low angle first, 10 to 80 degrees two-theta:
2θ/deg	Rel. int.
31.77	100
33.94	19
35.51	19
40.79	13
49.94	13
59.38	13
61.43	16
68.63	11



(2)
Simulated X-ray diffraction stick pattern
Compound: Pm8Ho6Tl
Radiation: copper Kα
Structure: a GGA-PBE-relaxed structure

Atomic structure:
Unit cell a=9.379 b=9.379 c=6.481 alpha=90.00 beta=90.00 gamma=120.00
Positions (direct):
Pm (0.042, 0.770, 0.319)
Pm (0.230, 0.272, 0.319)
Pm (0.272, 0.042, 0.681)
Pm (0.333, 0.667, 0.341)
Pm (0.667, 0.333, 0.659)
Pm (0.728, 0.958, 0.319)
Pm (0.770, 0.728, 0.681)
Pm (0.958, 0.230, 0.681)
Ho (0.098, 0.647, 0.830)
Ho (0.353, 0.451, 0.830)
Ho (0.451, 0.098, 0.170)
Ho (0.549, 0.902, 0.830)
Ho (0.647, 0.549, 0.170)
Ho (0.902, 0.353, 0.170)
Tl (0.000, 0.000, 0.000)

Largest 8 diffraction maxima, low angle first, 10 to 80 degrees two-theta:
2θ/deg	Rel. int.
25.89	20
29.09	25
29.68	17
32.27	100
33.62	29
40.48	12
51.57	18
62.15	11



(3)
Simulated X-ray diffraction stick pattern
Compound: PmYHoTl
Radiation: copper Kα
Structure: a GGA-PBE-relaxed structure

Atomic structure:
Unit cell a=4.848 b=4.888 c=4.939 alpha=90.00 beta=90.00 gamma=90.00
Positions (direct):
Pm (0.000, 0.000, 0.000)
Y (0.500, 0.000, 0.500)
Ho (0.500, 0.500, 0.000)
Tl (0.000, 0.500, 0.500)

Largest 8 diffraction maxima, low angle first, 10 to 80 degrees two-theta:
2θ/deg	Rel. int.
31.68	100
36.38	17
36.77	17
37.09	16
62.54	14
63.06	14
63.48	14
66.18	12



(4)
Simulated X-ray diffraction stick pattern
Compound: Pm3Ho5Tm2
Radiation: copper Kα
Structure: a GGA-PBE-relaxed structure

Atomic structure:
Unit cell a=9.554 b=9.554 c=9.377 alpha=108.36 beta=108.36 gamma=112.19
Positions (direct):
Pm (0.019, 0.267, 0.044)
Pm (0.234, 0.766, 0.750)
Pm (0.267, 0.019, 0.544)
Pm (0.733, 0.981, 0.456)
Pm (0.766, 0.234, 0.250)
Pm (0.981, 0.733, 0.956)
Ho (0.028, 0.972, 0.750)
Ho (0.151, 0.373, 0.771)
Ho (0.272, 0.728, 0.250)
Ho (0.373, 0.151, 0.271)
Ho (0.469, 0.531, 0.250)
Ho (0.531, 0.469, 0.750)
Ho (0.627, 0.849, 0.729)
Ho (0.728, 0.272, 0.750)
Ho (0.849, 0.627, 0.229)
Ho (0.972, 0.028, 0.250)
Tm (0.231, 0.464, 0.452)
Tm (0.464, 0.231, 0.952)
Tm (0.536, 0.769, 0.048)
Tm (0.769, 0.536, 0.548)

Largest 8 diffraction maxima, low angle first, 10 to 80 degrees two-theta:
2θ/deg	Rel. int.
30.38	100
30.64	52
30.76	51
32.33	24
33.63	49
38.00	19
49.36	19
66.04	18



(5)
Simulated X-ray diffraction stick pattern
Compound: Pm8HoTm5
Radiation: copper Kα
Structure: a GGA-PBE-relaxed structure

Atomic structure:
Unit cell a=7.709 b=7.709 c=10.072 alpha=117.99 beta=117.99 gamma=76.22
Positions (direct):
Pm (0.069, 0.069, 0.211)
Pm (0.140, 0.558, 0.297)
Pm (0.209, 0.307, 0.940)
Pm (0.442, 0.860, 0.703)
Pm (0.487, 0.159, 0.563)
Pm (0.693, 0.791, 0.060)
Pm (0.841, 0.513, 0.437)
Pm (0.931, 0.931, 0.789)
Ho (0.953, 0.047, 0.500)
Tm (0.271, 0.541, 0.764)
Tm (0.459, 0.729, 0.236)
Tm (0.498, 0.193, 0.247)
Tm (0.687, 0.313, 0.000)
Tm (0.807, 0.502, 0.753)

Largest 8 diffraction maxima, low angle first, 10 to 80 degrees two-theta:
2θ/deg	Rel. int.
29.45	57
29.63	100
30.11	87
31.43	31
32.53	75
32.68	84
36.43	58
47.52	32



(6)
Simulated X-ray diffraction stick pattern
Compound: Pm4Ho3Tm8
Radiation: copper Kα
Structure: a GGA-PBE-relaxed structure

Atomic structure:
Unit cell a=12.363 b=12.363 c=12.363 alpha=32.39 beta=32.39 gamma=32.39
Positions (direct):
Pm (0.000, 0.000, 0.000)
Pm (0.163, 0.163, 0.163)
Pm (0.500, 0.500, 0.500)
Pm (0.837, 0.837, 0.837)
Ho (0.000, 0.500, 0.500)
Ho (0.500, 0.000, 0.500)
Ho (0.500, 0.500, 0.000)
Tm (0.250, 0.250, 0.747)
Tm (0.250, 0.747, 0.250)
Tm (0.253, 0.750, 0.750)
Tm (0.255, 0.255, 0.255)
Tm (0.745, 0.745, 0.745)
Tm (0.747, 0.250, 0.250)
Tm (0.750, 0.253, 0.750)
Tm (0.750, 0.750, 0.253)

Largest 8 diffraction maxima, low angle first, 10 to 80 degrees two-theta:
2θ/deg	Rel. int.
30.06	23
30.55	54
31.65	100
36.39	73
51.69	23
53.12	36
61.24	16
62.53	43